# Ta2Co3
Simulated X-ray powder pattern, Cu Kα (λ = 1.5418 Å). Input: the PBE geometry in OQMD.
Peak positions follow from Bragg's law for the DFT cell and can differ from measured ones.

Atomic structure:
```
data_Ta2Co3
_chemical_formula_sum 'Ta12 Co18'
_space_group_name_H-M_alt 'P 42/m n m'
_space_group_IT_number 136
_space_group_name_Hall '-P 4n 2n'
_cell_length_a 8.9849
_cell_length_b 8.9849
_cell_length_c 5.0127
_cell_angle_alpha 90.00
_cell_angle_beta 90.00
_cell_angle_gamma 90.00
loop_
_atom_site_label
_atom_site_type_symbol
_atom_site_fract_x
_atom_site_fract_y
_atom_site_fract_z
_atom_site_occupancy
Ta1 Ta 0.1087 0.1087 0.0000 1
Ta2 Ta 0.1843 0.8157 0.2499 1
Co1 Co 0.0000 0.0000 0.5000 1
Co2 Co 0.0363 0.3713 0.0000 1
Co3 Co 0.0629 0.2672 0.5000 1
```

The 10 most intense peaks (15 to 90 degrees two-theta), in order of falling intensity:
d [Å]	I_rel	h k l
2.127	100	2 1 2
2.179	79	4 1 0
1.998	46	4 1 1
2.189	42	2 0 2
2.118	36	3 3 0
1.312	31	5 3 2
1.951	22	3 3 1
4.492	21	2 0 0
1.234	16	7 2 0
2.841	14	3 1 0

# HoTm2Lu3Bi2Os
Simulated X-ray powder pattern, Cu Kα (λ = 1.5418 Å). Input: the PBE geometry in OQMD.
Peak positions follow from Bragg's law for the DFT cell and can differ from measured ones.

Atomic structure:
```
data_HoTm2Lu3Bi2Os
_chemical_formula_sum 'Ho2 Tm4 Lu6 Bi4 Os2'
_space_group_name_H-M_alt 'A m m 2'
_space_group_IT_number 38
_cell_length_a 4.2151
_cell_length_b 14.1171
_cell_length_c 8.1676
_cell_angle_alpha 90.00
_cell_angle_beta 90.00
_cell_angle_gamma 90.00
loop_
_space_group_symop_operation_xyz
'x,y,z'
'-x,-y,z'
'-x,y,z'
'x,-y,z'
'x,y+1/2,z+1/2'
'-x,-y+1/2,z+1/2'
'-x,y+1/2,z+1/2'
'x,-y+1/2,z+1/2'
loop_
_atom_site_label
_atom_site_type_symbol
_atom_site_fract_x
_atom_site_fract_y
_atom_site_fract_z
_atom_site_occupancy
Ho1 Ho 0.0000 0.0000 0.0000 1
Tm1 Tm 0.0000 0.1911 0.4251 1
Lu1 Lu 0.5000 0.0000 0.3839 1
Lu2 Lu 0.5000 0.1157 0.7313 1
Bi1 Bi 0.5000 0.1672 0.1166 1
Os1 Os 0.0000 0.0000 0.6137 1
```

The 10 most intense peaks (15 to 90 degrees two-theta), in order of falling intensity:
d [Å]	I_rel	h k l
2.931	100	1 0 2
2.708	78	1 2 2
2.256	64	1 5 1
2.671	49	0 5 1
2.355	49	0 6 0
2.108	30	2 0 0
1.571	28	2 6 0
1.654	24	2 5 1
1.513	21	1 1 5
1.245	13	2 6 4

# Li8Pd4O11
Simulated X-ray powder pattern, Cu Kα (λ = 1.5418 Å). Input: the PBE geometry in OQMD.
Peak positions follow from Bragg's law for the DFT cell and can differ from measured ones.

Atomic structure:
```
data_Li8Pd4O11
_chemical_formula_sum 'Li8 Pd4 O11'
_space_group_name_H-M_alt 'P 1'
_space_group_IT_number 1
_cell_length_a 5.0515
_cell_length_b 5.0988
_cell_length_c 8.8293
_cell_angle_alpha 84.13
_cell_angle_beta 73.72
_cell_angle_gamma 80.43
loop_
_space_group_symop_operation_xyz
'x,y,z'
loop_
_atom_site_label
_atom_site_type_symbol
_atom_site_fract_x
_atom_site_fract_y
_atom_site_fract_z
_atom_site_occupancy
Li1 Li 0.0000 0.0000 0.0000 1
Li2 Li 0.0600 0.2482 0.4310 1
Li3 Li 0.1364 0.4955 0.8533 1
Li4 Li 0.3057 0.9911 0.6796 1
Li5 Li 0.4723 0.4905 0.5106 1
Li6 Li 0.5426 0.7309 0.9204 1
Li7 Li 0.6307 0.0125 0.3648 1
Li8 Li 0.8218 0.4654 0.1846 1
Pd1 Pd 0.2309 0.7550 0.2574 1
Pd2 Pd 0.3891 0.2258 0.1028 1
Pd3 Pd 0.7234 0.2395 0.7656 1
Pd4 Pd 0.8921 0.7418 0.5956 1
O1 O 0.0231 0.1095 0.2203 1
O2 O 0.0838 0.3746 0.6439 1
O3 O 0.1761 0.6319 0.0594 1
O4 O 0.2589 0.8629 0.4673 1
O5 O 0.3628 0.1157 0.8927 1
O6 O 0.4366 0.3790 0.2958 1
O7 O 0.5306 0.6058 0.7167 1
O8 O 0.6841 0.1109 0.5642 1
O9 O 0.7562 0.3489 0.9740 1
O10 O 0.8504 0.6249 0.3923 1
O11 O 0.9274 0.8698 0.8004 1
```

The 10 most intense peaks (15 to 90 degrees two-theta), in order of falling intensity:
d [Å]	I_rel	h k l
4.758	100	1 0 1
2.074	49	2 1 -1
2.509	36	0 2 0
3.757	29	1 0 -1
2.082	25	1 1 4
2.399	23	1 2 1
4.433	22	0 1 1
3.243	21	1 -1 0
2.523	18	0 1 3
4.230	18	0 0 2

# Li6Nd2O7
Simulated X-ray powder pattern, Cu Kα (λ = 1.5418 Å). Input: the PBE geometry in OQMD.
Peak positions follow from Bragg's law for the DFT cell and can differ from measured ones.

Atomic structure:
```
data_Li6Nd2O7
_chemical_formula_sum 'Li6 Nd2 O7'
_space_group_name_H-M_alt 'P -1'
_space_group_IT_number 2
_cell_length_a 5.6815
_cell_length_b 5.7272
_cell_length_c 6.2161
_cell_angle_alpha 67.01
_cell_angle_beta 83.33
_cell_angle_gamma 78.95
loop_
_space_group_symop_operation_xyz
'x,y,z'
'-x,-y,-z'
loop_
_atom_site_label
_atom_site_type_symbol
_atom_site_fract_x
_atom_site_fract_y
_atom_site_fract_z
_atom_site_occupancy
Li1 Li 0.0433 0.2080 0.4166 1
Li2 Li 0.3763 0.6222 0.3101 1
Li3 Li 0.4063 0.7493 0.8249 1
Nd1 Nd 0.1436 0.2599 0.9106 1
O1 O 0.0782 0.9793 0.7419 1
O2 O 0.2336 0.4505 0.1619 1
O3 O 0.2965 0.5977 0.6184 1
O4 O 0.5000 0.0000 0.0000 1
```

The 10 most intense peaks (15 to 90 degrees two-theta), in order of falling intensity:
d [Å]	I_rel	h k l
5.716	100	0 0 1
4.080	65	1 0 1
5.570	51	1 0 0
2.924	43	1 1 -1
4.148	29	1 1 0
2.405	28	1 2 2
2.307	27	2 -1 0
3.531	26	1 -1 0
3.366	26	-1 1 1
2.056	26	1 1 -2